1.
Theoretical X-ray powder pattern
Compound: Sm2CoRuO6
Radiation: Cu Kα, 1.54184 Å
Structure: a structure optimized by DFT (PBE+U)
Peak positions follow from Bragg's law for the DFT cell and can differ from measured ones.

Crystal structure
```
Sm2CoRuO6
1.0
5.395 0.000 0.000
0.000 5.810 0.000
-5.367 0.000 7.744
Sm Co Ru O
4 2 2 12
direct
0.228 0.071 0.249 Sm
0.228 0.429 0.749 Sm
0.772 0.571 0.251 Sm
0.772 0.929 0.751 Sm
0.000 0.000 0.500 Co
0.000 0.500 0.000 Co
0.500 0.000 0.000 Ru
0.500 0.500 0.500 Ru
0.142 0.192 0.949 O
0.142 0.308 0.449 O
0.257 0.704 0.943 O
0.257 0.796 0.443 O
0.359 0.038 0.751 O
0.359 0.462 0.251 O
0.641 0.538 0.749 O
0.641 0.962 0.249 O
0.743 0.204 0.557 O
0.743 0.296 0.057 O
0.858 0.692 0.551 O
0.858 0.808 0.051 O
```

Top 10 peaks for 2θ from 10° to 80°, in order of rising 2θ:
two_theta, I (rel.)
25.3, 19
30.8, 19
32.4, 100
32.9, 12
33.2, 25
45.9, 17
46.9, 14
51.5, 17
58.7, 13
58.9, 16

2.
Theoretical X-ray powder pattern
Compound: Sr3CoRuO7
Radiation: Cu Kα, 1.54184 Å
Structure: a structure optimized by DFT (PBE+U)
Peak positions follow from Bragg's law for the DFT cell and can differ from measured ones.

Crystal structure
```
Sr3CoRuO7
1.0
-1.974 1.974 10.358
1.974 -1.974 10.358
1.974 1.974 -10.358
Sr Co Ru O
3 1 1 7
direct
0.000 0.000 0.000 Sr
0.169 0.169 0.000 Sr
0.365 0.365 0.000 Sr
0.574 0.574 0.000 Co
0.776 0.776 0.000 Ru
0.085 0.585 0.500 O
0.280 0.780 0.500 O
0.483 0.483 0.000 O
0.585 0.085 0.500 O
0.685 0.685 0.000 O
0.780 0.280 0.500 O
0.875 0.875 0.000 O
```

Top 10 peaks for 2θ from 10° to 80°, in order of rising 2θ:
two_theta, I (rel.)
31.3, 100
32.1, 66
41.6, 12
43.7, 14
46.0, 40
55.2, 15
56.7, 38
65.3, 15
67.1, 12
76.3, 11

3.
Theoretical X-ray powder pattern
Compound: Sr2CoRuO6
Radiation: Cu Kα, 1.54184 Å
Structure: a structure optimized by DFT (PBE+U)
Peak positions follow from Bragg's law for the DFT cell and can differ from measured ones.

Crystal structure
```
Sr2CoRuO6
1.0
2.821 1.628 4.550
-2.821 1.628 4.550
0.000 -3.257 4.550
Sr Co Ru O
2 1 1 6
direct
0.250 0.250 0.250 Sr
0.750 0.750 0.750 Sr
0.500 0.500 0.500 Co
0.000 0.000 0.000 Ru
0.204 0.282 0.758 O
0.242 0.796 0.718 O
0.282 0.758 0.204 O
0.718 0.242 0.796 O
0.758 0.204 0.282 O
0.796 0.718 0.242 O
```

Top 10 peaks for 2θ from 10° to 80°, in order of rising 2θ:
two_theta, I (rel.)
31.7, 100
32.0, 100
45.7, 69
56.5, 21
56.7, 40
57.2, 19
66.3, 19
66.9, 20
75.5, 16
75.9, 17

4.
Theoretical X-ray powder pattern
Compound: CoS2O8
Radiation: Cu Kα, 1.54184 Å
Structure: a structure optimized by DFT (PBE+U)
Peak positions follow from Bragg's law for the DFT cell and can differ from measured ones.

Crystal structure
```
CoS2O8
1.0
4.189 2.418 7.478
-4.189 2.418 7.478
0.000 -4.837 7.478
Co S O
3 6 24
direct
0.000 0.000 0.000 Co
0.206 0.206 0.206 Co
0.704 0.704 0.704 Co
0.104 0.389 0.809 S
0.313 0.894 0.598 S
0.389 0.809 0.104 S
0.598 0.313 0.894 S
0.809 0.104 0.389 S
0.894 0.598 0.313 S
0.091 0.467 0.230 O
0.129 0.199 0.830 O
0.150 0.363 0.961 O
0.178 0.875 0.803 O
0.199 0.830 0.129 O
0.225 0.477 0.614 O
0.230 0.091 0.467 O
0.342 0.740 0.558 O
0.363 0.961 0.150 O
0.467 0.230 0.091 O
0.477 0.614 0.225 O
0.503 0.877 0.570 O
0.524 0.837 0.897 O
0.558 0.342 0.740 O
0.570 0.503 0.877 O
0.614 0.225 0.477 O
0.740 0.558 0.342 O
0.803 0.178 0.875 O
0.830 0.129 0.199 O
0.837 0.897 0.524 O
0.875 0.803 0.178 O
0.877 0.570 0.503 O
0.897 0.524 0.837 O
0.961 0.150 0.363 O
```

Top 10 peaks for 2θ from 10° to 80°, in order of rising 2θ:
two_theta, I (rel.)
12.8, 10
14.5, 50
20.0, 30
24.4, 100
29.3, 28
32.1, 37
32.9, 13
37.2, 9
49.9, 10
52.7, 13

5.
Theoretical X-ray powder pattern
Compound: CoSO4
Radiation: Cu Kα, 1.54184 Å
Structure: a structure optimized by DFT (PBE+U)
Peak positions follow from Bragg's law for the DFT cell and can differ from measured ones.

Crystal structure
```
CoSO4
1.0
2.617 -3.992 0.000
2.617 3.992 0.000
-0.028 0.000 6.621
Co S O
2 2 8
direct
0.000 0.000 0.000 Co
0.000 0.000 0.500 Co
0.349 0.651 0.750 S
0.651 0.349 0.250 S
0.225 0.306 0.750 O
0.249 0.751 0.563 O
0.249 0.751 0.937 O
0.306 0.225 0.250 O
0.694 0.775 0.750 O
0.751 0.249 0.063 O
0.751 0.249 0.437 O
0.775 0.694 0.250 O
```

Top 10 peaks for 2θ from 10° to 80°, in order of rising 2θ:
two_theta, I (rel.)
20.3, 64
22.3, 37
24.4, 100
26.1, 56
33.9, 82
34.0, 81
34.3, 51
37.9, 68
53.6, 24
65.1, 22

6.
Theoretical X-ray powder pattern
Compound: CoSO8
Radiation: Cu Kα, 1.54184 Å
Structure: a structure optimized by DFT (PBE+U)
Peak positions follow from Bragg's law for the DFT cell and can differ from measured ones.

Crystal structure
```
CoSO8
1.0
5.751 0.000 0.000
0.000 13.124 0.000
-5.733 0.000 7.450
Co S O
4 4 32
direct
0.164 0.107 0.226 Co
0.164 0.393 0.726 Co
0.836 0.607 0.274 Co
0.836 0.893 0.774 Co
0.375 0.608 0.681 S
0.375 0.892 0.181 S
0.625 0.108 0.819 S
0.625 0.392 0.319 S
0.019 0.087 0.352 O
0.019 0.413 0.852 O
0.052 0.227 0.234 O
0.052 0.273 0.734 O
0.232 0.574 0.487 O
0.232 0.926 0.987 O
0.244 0.542 0.751 O
0.244 0.958 0.251 O
0.281 0.131 0.098 O
0.281 0.369 0.598 O
0.294 0.713 0.687 O
0.294 0.787 0.187 O
0.312 0.089 0.719 O
0.312 0.411 0.219 O
0.483 0.625 0.084 O
0.483 0.875 0.584 O
0.517 0.125 0.416 O
0.517 0.375 0.916 O
0.688 0.589 0.781 O
0.688 0.911 0.281 O
0.706 0.213 0.813 O
0.706 0.287 0.313 O
0.719 0.631 0.402 O
0.719 0.869 0.902 O
0.756 0.042 0.749 O
0.756 0.458 0.249 O
0.768 0.074 0.013 O
0.768 0.426 0.513 O
0.948 0.727 0.266 O
0.948 0.773 0.766 O
0.981 0.587 0.148 O
0.981 0.913 0.648 O
```

Top 10 peaks for 2θ from 10° to 80°, in order of rising 2θ:
two_theta, I (rel.)
13.7, 17
16.8, 100
18.0, 20
20.5, 71
20.7, 26
23.9, 59
27.2, 39
28.3, 27
29.3, 29
31.7, 26